[1]
This entry pairs a crystal structure of SrSi with its simulated powder XRD pattern. Radiation: copper Kα. Structure: a PBE-relaxed structure.
Peak positions follow from Bragg's law for the DFT cell and can differ from measured ones.

Peak list (10 most intense, 10° ≤ 2θ ≤ 80°, by angle)
23.1 deg, d 3.853, I 85
24.7 deg, d 3.605, I 45
26.8 deg, d 3.330, I 54
27.2 deg, d 3.280, I 100
31.7 deg, d 2.823, I 51
34.8 deg, d 2.581, I 27
35.7 deg, d 2.512, I 49
36.7 deg, d 2.448, I 42
39.9 deg, d 2.261, I 51
49.3 deg, d 1.850, I 29

Cell and atoms:
Cell lengths 4.8970, 13.2491, 6.2413 Å; angles 90.00, 90.00, 90.00 degrees
Fractional positions:
1 Sr 0.0000 0.0000 0.0000
2 Sr 0.0000 0.2999 0.1487
3 Sr 0.0000 0.7001 0.1487
4 Sr 0.5000 0.2001 0.6487
5 Sr 0.5000 0.5000 0.5000
6 Sr 0.5000 0.7999 0.6487
7 Si 0.0000 0.3565 0.6505
8 Si 0.0000 0.5000 0.8705
9 Si 0.0000 0.6435 0.6505
10 Si 0.5000 0.0000 0.3705
11 Si 0.5000 0.1435 0.1505
12 Si 0.5000 0.8565 0.1505

=====

[2]
This entry pairs a crystal structure of Cs3SiAu4 with its simulated powder XRD pattern. Radiation: copper Kα. Structure: a PBE-relaxed structure.
Peak positions follow from Bragg's law for the DFT cell and can differ from measured ones.

Peak list (10 most intense, 10° ≤ 2θ ≤ 80°, by angle)
14.4 deg, d 6.154, I 36
16.3 deg, d 5.455, I 25
25.7 deg, d 3.461, I 23
29.0 deg, d 3.077, I 100
30.2 deg, d 2.963, I 45
32.0 deg, d 2.801, I 28
32.8 deg, d 2.727, I 40
34.3 deg, d 2.615, I 46
38.9 deg, d 2.318, I 30
47.0 deg, d 1.934, I 26

Cell and atoms:
Cell lengths 6.7610, 8.2562, 9.2316 Å; angles 90.00, 90.00, 90.00 degrees
Fractional positions:
1 Cs 0.0000 0.0000 0.0000
2 Cs 0.0000 0.2743 0.6725
3 Cs 0.0000 0.7257 0.6725
4 Cs 0.5000 0.2257 0.1725
5 Cs 0.5000 0.5000 0.5000
6 Cs 0.5000 0.7743 0.1725
7 Si 0.0000 0.5000 0.0984
8 Si 0.5000 0.0000 0.5984
9 Au 0.0000 0.2717 0.2773
10 Au 0.0000 0.7283 0.2773
11 Au 0.2098 0.0000 0.4333
12 Au 0.2902 0.5000 0.9333
13 Au 0.5000 0.2283 0.7773
14 Au 0.5000 0.7717 0.7773
15 Au 0.7098 0.5000 0.9333
16 Au 0.7902 0.0000 0.4333

=====

[3]
This entry pairs a crystal structure of TbCuB5O10 with its simulated powder XRD pattern. Radiation: copper Kα. Structure: a PBE-relaxed structure.
Peak positions follow from Bragg's law for the DFT cell and can differ from measured ones.

Peak list (10 most intense, 10° ≤ 2θ ≤ 80°, by angle)
17.3 deg, d 5.122, I 100
20.8 deg, d 4.270, I 39
27.9 deg, d 3.199, I 45
33.0 deg, d 2.711, I 37
34.5 deg, d 2.601, I 21
35.1 deg, d 2.559, I 58
43.7 deg, d 2.070, I 25
44.9 deg, d 2.017, I 35
45.4 deg, d 1.998, I 30
51.5 deg, d 1.775, I 21

Cell and atoms:
Cell lengths 8.3255, 8.3255, 8.3255 Å; angles 134.79, 118.28, 79.72 degrees
Fractional positions:
1 Tb 0.2500 0.2500 0.0000
2 Tb 0.7500 0.7500 0.0000
3 Cu 0.0000 0.0000 0.0000
4 Cu 0.5000 0.5000 0.0000
5 B 0.0913 0.5160 0.8034
6 B 0.2125 0.0160 0.4247
7 B 0.2500 0.7500 0.5000
8 B 0.2875 0.7122 0.8034
9 B 0.4087 0.2122 0.4247
10 B 0.5913 0.7878 0.5753
11 B 0.7125 0.2878 0.1966
12 B 0.7500 0.2500 0.5000
13 B 0.7875 0.9840 0.5753
14 B 0.9087 0.4840 0.1966
15 O 0.0484 0.9479 0.2170
16 O 0.0917 0.5388 0.2594
17 O 0.1226 0.6478 0.7704
18 O 0.2206 0.9612 0.5529
19 O 0.2308 0.4479 0.8994
20 O 0.2692 0.1686 0.2170
21 O 0.2794 0.8324 0.7406
22 O 0.3774 0.1478 0.5252
23 O 0.4083 0.6676 0.4471
24 O 0.4516 0.6686 0.8994
25 O 0.5484 0.3314 0.1006
26 O 0.5917 0.3324 0.5529
27 O 0.6226 0.8522 0.4748
28 O 0.7206 0.1676 0.2594
29 O 0.7308 0.8314 0.7830
30 O 0.7692 0.5521 0.1006
31 O 0.7794 0.0388 0.4471
32 O 0.8774 0.3522 0.2296
33 O 0.9083 0.4612 0.7406
34 O 0.9516 0.0521 0.7830